1.
Calculated XRD peak list
Compound: ZnH7C3NO6
Radiation: a wavelength of 1.5418 Å
Structure: a cell relaxed with PBE
Neutral-atom scattering factors, no anomalous dispersion.

Structure:
```
data_ZnH7C3NO6
_space_group_name_H-M_alt 'C 1 2 1'
_space_group_IT_number 5
_space_group_name_Hall 'C 2y'
_cell_length_a 13.0028
_cell_length_b 7.3532
_cell_length_c 8.2601
_cell_angle_alpha 90.00
_cell_angle_beta 91.07
_cell_angle_gamma 90.00
loop_
_atom_site_label
_atom_site_type_symbol
_atom_site_fract_x
_atom_site_fract_y
_atom_site_fract_z
Zn1 Zn 0.1663 0.0000 0.2494
H1 H 0.0000 0.0863 0.0000
H2 H 0.0000 0.9195 0.5000
H3 H 0.0189 0.5927 0.3462
H4 H 0.0340 0.3806 0.2735
H5 H 0.0355 0.5715 0.1532
H6 H 0.0764 0.4952 0.7721
H7 H 0.2077 0.2951 0.5010
H8 H 0.2078 0.7098 0.9966
C1 C 0.0000 0.0699 0.5000
C2 C 0.0000 0.9358 0.0000
C3 C 0.2175 0.2817 0.9983
C4 C 0.2189 0.7196 0.4998
N1 N 0.0021 0.5076 0.2501
O1 O 0.0539 0.1494 0.3944
O2 O 0.0588 0.8538 0.1004
O3 O 0.1490 0.7651 0.3976
O4 O 0.1500 0.2366 0.0998
O5 O 0.2052 0.4043 0.8909
O6 O 0.2086 0.5930 0.6023
```

Principal peaks in the range 5° ≤ 2θ ≤ 70°, low angle first:
2theta	I_rel	h k l
13.8	24	1 1 0
17.2	34	2 0 -1
17.5	100	2 0 1
17.6	65	1 1 1
32.1	24	3 1 -2
32.6	46	0 2 2

---

2.
Calculated XRD peak list
Compound: ZnH3CNO3
Radiation: a wavelength of 1.5418 Å
Structure: a cell relaxed with PBE
Neutral-atom scattering factors, no anomalous dispersion.

Structure:
```
data_ZnH3CNO3
_space_group_name_H-M_alt 'P n a 21'
_space_group_IT_number 33
_space_group_name_Hall 'P 2c -2n'
_cell_length_a 9.2907
_cell_length_b 7.7278
_cell_length_c 5.5856
_cell_angle_alpha 90.00
_cell_angle_beta 90.00
_cell_angle_gamma 90.00
loop_
_atom_site_label
_atom_site_type_symbol
_atom_site_fract_x
_atom_site_fract_y
_atom_site_fract_z
Zn1 Zn 0.1447 0.1656 0.0000
H1 H 0.0377 0.6475 0.2753
H2 H 0.0794 0.2735 0.5774
H3 H 0.1215 0.4442 0.7412
C1 C 0.1235 0.8582 0.7347
N1 N 0.0691 0.3277 0.7444
O1 O 0.0120 0.1011 0.2604
O2 O 0.1582 0.7213 0.6138
O3 O 0.2211 0.9530 0.8337
```

Principal peaks in the range 5° ≤ 2θ ≤ 70°, low angle first:
2theta	I_rel	h k l
14.9	42	1 1 0
19.6	100	0 1 1
21.8	48	1 1 1
22.3	28	2 1 0
24.9	59	2 0 1
29.7	34	1 2 1